Diffraction record for Hf2ZrAs4Pd4. The X-ray diffraction stick pattern is computed, not measured: it uses a structure optimized by DFT (GGA-PBE) and CuKα.
Intensities are scaled so that the largest is 100.

The 10 most intense peaks (10 to 80 degrees two-theta), in order of rising 2θ:
- 17.58 deg, I 34
- 35.20 deg, I 61
- 35.36 deg, I 41
- 35.53 deg, I 100
- 37.35 deg, I 93
- 37.52 deg, I 86
- 41.89 deg, I 82
- 44.31 deg, I 44
- 46.23 deg, I 65
- 68.60 deg, I 30

Cell and atoms:
abc: 6.6011 3.9277 7.7423
angles: 90.00 90.51 90.00
Atoms (fractional coordinates):
Hf: 0.0000 0.0000 0.0000
Hf: 0.4257 0.5000 0.4922
Zr: 0.9204 0.5000 0.6230
As: 0.2104 0.0000 0.6832
As: 0.2441 0.5000 0.1866
As: 0.6963 0.0000 0.4272
As: 0.7158 0.5000 0.9376
Pd: 0.1042 0.0000 0.3666
Pd: 0.3143 0.5000 0.8734
Pd: 0.6089 0.0000 0.7514
Pd: 0.8314 0.5000 0.2461

Diffraction record for Cu3Ag4. The X-ray diffraction stick pattern is computed, not measured: it uses a structure optimized by DFT (GGA-PBE) and CuKα.
Intensities are scaled so that the largest is 100.

The 10 most intense peaks (10 to 80 degrees two-theta), in order of rising 2θ:
- 39.43 deg, I 51
- 39.55 deg, I 100
- 39.73 deg, I 49
- 45.48 deg, I 33
- 46.27 deg, I 62
- 66.70 deg, I 19
- 67.03 deg, I 10
- 67.18 deg, I 9
- 67.52 deg, I 18
- 79.75 deg, I 6

Cell and atoms:
abc: 4.8065 4.8283 4.8542
angles: 98.67 99.79 99.88
Atoms (fractional coordinates):
Cu: 0.0000 0.0000 0.0000
Cu: 0.2714 0.1326 0.5648
Cu: 0.7286 0.8674 0.4352
Ag: 0.1446 0.5860 0.2875
Ag: 0.4402 0.7234 0.8522
Ag: 0.5598 0.2766 0.1478
Ag: 0.8554 0.4140 0.7125

Diffraction record for Th2Co17. The X-ray diffraction stick pattern is computed, not measured: it uses a structure optimized by DFT (GGA-PBE) and CuKα.
Intensities are scaled so that the largest is 100.

The 10 most intense peaks (10 to 80 degrees two-theta), in order of rising 2θ:
- 21.32 deg, I 19
- 30.82 deg, I 62
- 37.37 deg, I 46
- 38.80 deg, I 35
- 43.43 deg, I 66
- 43.79 deg, I 100
- 44.69 deg, I 23
- 44.86 deg, I 29
- 63.37 deg, I 25
- 64.21 deg, I 19

Cell and atoms:
abc: 6.2839 6.2839 6.2839
angles: 83.09 83.09 83.09
Atoms (fractional coordinates):
Th: 0.1565 0.1565 0.1565
Th: 0.8435 0.8435 0.8435
Co: 0.0000 0.5000 0.5000
Co: 0.1547 0.1547 0.6475
Co: 0.1547 0.6475 0.1547
Co: 0.2148 0.5000 0.7852
Co: 0.2148 0.7852 0.5000
Co: 0.3525 0.8453 0.8453
Co: 0.4030 0.4030 0.4030
Co: 0.5000 0.0000 0.5000
Co: 0.5000 0.2148 0.7852
Co: 0.5000 0.5000 0.0000
Co: 0.5000 0.7852 0.2148
Co: 0.5970 0.5970 0.5970
Co: 0.6475 0.1547 0.1547
Co: 0.7852 0.2148 0.5000
Co: 0.7852 0.5000 0.2148
Co: 0.8453 0.3525 0.8453
Co: 0.8453 0.8453 0.3525

Diffraction record for ReSn2O4. The X-ray diffraction stick pattern is computed, not measured: it uses a structure optimized by DFT (GGA-PBE) and CuKα.
Intensities are scaled so that the largest is 100.

The 10 most intense peaks (10 to 80 degrees two-theta), in order of rising 2θ:
- 25.82 deg, I 40
- 30.38 deg, I 100
- 31.76 deg, I 15
- 45.53 deg, I 17
- 48.47 deg, I 34
- 53.08 deg, I 37
- 62.39 deg, I 13
- 63.20 deg, I 8
- 72.47 deg, I 9
- 74.71 deg, I 25

Cell and atoms:
abc: 6.8999 6.8999 6.8999
angles: 119.97 119.97 90.05
Atoms (fractional coordinates):
Re: 0.3750 0.6250 0.7500
Re: 0.6250 0.3750 0.2500
Sn: 0.0000 0.0000 0.0000
Sn: 0.0000 0.0000 0.5000
Sn: 0.0000 0.5000 0.0000
Sn: 0.5000 0.0000 0.5000
O: 0.2653 0.2959 0.5306
O: 0.2653 0.7347 0.5306
O: 0.2653 0.7347 0.9694
O: 0.2959 0.2653 0.0306
O: 0.7041 0.7347 0.9694
O: 0.7347 0.2653 0.0306
O: 0.7347 0.2653 0.4694
O: 0.7347 0.7041 0.4694

Diffraction record for KFe4N2. The X-ray diffraction stick pattern is computed, not measured: it uses a structure optimized by DFT (GGA-PBE) and CuKα.
Intensities are scaled so that the largest is 100.

The 10 most intense peaks (10 to 80 degrees two-theta), in order of rising 2θ:
- 11.57 deg, I 100
- 28.29 deg, I 10
- 35.19 deg, I 6
- 38.83 deg, I 36
- 48.02 deg, I 35
- 48.40 deg, I 15
- 49.57 deg, I 14
- 59.45 deg, I 7
- 60.92 deg, I 6
- 63.40 deg, I 11

Cell and atoms:
abc: 7.9570 7.9570 7.9570
angles: 27.55 27.55 27.55
Atoms (fractional coordinates):
K: 0.0000 0.0000 0.0000
Fe: 0.1462 0.1462 0.1462
Fe: 0.4465 0.4465 0.4465
Fe: 0.5535 0.5535 0.5535
Fe: 0.8538 0.8538 0.8538
N: 0.2315 0.2315 0.2315
N: 0.7685 0.7685 0.7685

Diffraction record for TbY2Sn7. The X-ray diffraction stick pattern is computed, not measured: it uses a structure optimized by DFT (GGA-PBE) and CuKα.
Intensities are scaled so that the largest is 100.

The 10 most intense peaks (10 to 80 degrees two-theta), in order of rising 2θ:
- 33.19 deg, I 100
- 33.80 deg, I 20
- 40.40 deg, I 15
- 40.96 deg, I 15
- 53.66 deg, I 11
- 54.11 deg, I 11
- 58.90 deg, I 10
- 60.07 deg, I 12
- 68.91 deg, I 13
- 69.67 deg, I 23

Cell and atoms:
abc: 13.4430 13.4430 4.4647
angles: 90.00 90.00 161.13
Atoms (fractional coordinates):
Tb: 0.0000 0.0000 0.0000
Y: 0.3113 0.6887 0.5000
Y: 0.6887 0.3113 0.5000
Sn: 0.0961 0.9039 0.5000
Sn: 0.2114 0.7886 0.0000
Sn: 0.4034 0.5966 0.0000
Sn: 0.5000 0.5000 0.5000
Sn: 0.5966 0.4034 0.0000
Sn: 0.7886 0.2114 0.0000
Sn: 0.9039 0.0961 0.5000

Diffraction record for CdCu2I2Br2. The X-ray diffraction stick pattern is computed, not measured: it uses a structure optimized by DFT (GGA-PBE) and CuKα.
Intensities are scaled so that the largest is 100.

The 10 most intense peaks (10 to 80 degrees two-theta), in order of rising 2θ:
- 21.10 deg, I 13
- 25.24 deg, I 100
- 26.02 deg, I 89
- 40.95 deg, I 24
- 42.27 deg, I 45
- 42.96 deg, I 21
- 43.19 deg, I 42
- 48.34 deg, I 15
- 49.67 deg, I 15
- 51.34 deg, I 27

Cell and atoms:
abc: 5.9707 5.8854 6.2287
angles: 90.00 92.63 90.00
Atoms (fractional coordinates):
Cd: 0.0000 0.0000 0.0000
Cu: 0.0000 0.4882 0.5000
Cu: 0.5000 0.0046 0.5000
I: 0.2743 0.7338 0.7424
I: 0.7257 0.7338 0.2576
Br: 0.2496 0.2586 0.2745
Br: 0.7504 0.2586 0.7255